# 1
Diffraction record for CeS2. The X-ray diffraction stick pattern is computed, not measured: it uses a PBE-relaxed structure and Cu Kα X-rays.
Intensities are scaled so that the largest is 1000.

Peak list (8 most intense, 2θ = 5–70°, sorted by position)
two_theta, I/Imax, (hkl)
22.1, 427, 2 0 0
24.7, 753, 1 1 0
24.8, 789, 1 0 2
31.5, 719, 0 1 2
33.4, 635, 3 0 0
38.8, 1000, 2 1 2
40.4, 499, 3 0 -2
62.1, 250, 3 2 2

Structure:
a b c (Å): 8.0462 4.0368 8.0099
angles (deg): 90.00 90.18 90.00
Space group P2_1/c (No. 14)
One atom of each set of equivalent atoms:
1 Ce 0.2223 0.2176 0.1303 [4 per cell]
2 S 0.1360 0.7390 0.3755 [4 per cell]
3 S 0.4980 0.6613 0.1087 [4 per cell]

# 2
Diffraction record for LiB3H8. The X-ray diffraction stick pattern is computed, not measured: it uses a PBE-relaxed structure and Cu Kα X-rays.
Intensities are scaled so that the largest is 1000.

Peak list (8 most intense, 2θ = 5–70°, sorted by position)
two_theta, I/Imax, (hkl)
13.8, 100, 1 1 0
19.3, 132, 0 2 0
19.8, 1000, 2 0 0
20.7, 720, 1 1 1
27.8, 91, 2 2 0
35.2, 79, 3 1 1
44.2, 58, 1 3 2
55.5, 56, 2 2 3

Structure:
a b c (Å): 8.9616 9.2128 5.7909
angles (deg): 90.00 90.00 90.00
Space group Cmcm (No. 63)
One atom of each set of equivalent atoms:
1 Li 0.0000 0.0597 0.2500 [4 per cell]
2 B 0.0000 0.1908 0.5966 [8 per cell]
3 B 0.0000 0.3594 0.7500 [4 per cell]
4 H 0.0000 0.3164 0.5101 [8 per cell]
5 H 0.1146 0.1394 0.5212 [16 per cell]
6 H 0.1159 0.4281 0.7500 [8 per cell]

Please write out number 2 again, unchanged.
Diffraction record for LiB3H8. The X-ray diffraction stick pattern is computed, not measured: it uses a PBE-relaxed structure and Cu Kα X-rays.
Intensities are scaled so that the largest is 1000.

Peak list (8 most intense, 2θ = 5–70°, sorted by position)
two_theta, I/Imax, (hkl)
13.8, 100, 1 1 0
19.3, 132, 0 2 0
19.8, 1000, 2 0 0
20.7, 720, 1 1 1
27.8, 91, 2 2 0
35.2, 79, 3 1 1
44.2, 58, 1 3 2
55.5, 56, 2 2 3

Structure:
a b c (Å): 8.9616 9.2128 5.7909
angles (deg): 90.00 90.00 90.00
Space group Cmcm (No. 63)
One atom of each set of equivalent atoms:
1 Li 0.0000 0.0597 0.2500 [4 per cell]
2 B 0.0000 0.1908 0.5966 [8 per cell]
3 B 0.0000 0.3594 0.7500 [4 per cell]
4 H 0.0000 0.3164 0.5101 [8 per cell]
5 H 0.1146 0.1394 0.5212 [16 per cell]
6 H 0.1159 0.4281 0.7500 [8 per cell]